No. 1
This entry pairs a crystal structure of In2P3Se9 with its theoretical X-ray powder pattern. Radiation: a wavelength of 1.5418 Å. Structure: DFT lattice parameters and positions (GGA-PBE).
Neutral-atom scattering factors, no anomalous dispersion.

Principal peaks in the range 2θ from 10° to 80°, sorted by position:
Position (°2θ), I (rel.)
12.2, 523
24.5, 260
30.0, 1000
30.1, 501
37.0, 191
37.1, 378
46.7, 203
46.8, 157
48.3, 426
50.3, 100
58.0, 188
78.8, 92

Structural model:
Cell: 8.169 11.290 17.987 Å, 83.93 88.60 76.61°
Sites, in units of the cell vectors:
In1 0.003 0.180 0.491
In2 0.172 0.656 0.323
In3 0.323 0.155 0.176
In4 0.483 0.680 0.007
In5 0.517 0.320 0.993
In6 0.677 0.845 0.824
In7 0.828 0.344 0.677
In8 0.997 0.820 0.509
P1 0.031 0.023 0.308
P2 0.128 0.468 0.529
P3 0.201 0.519 0.140
P4 0.295 0.966 0.358
P5 0.372 0.022 0.971
P6 0.464 0.473 0.190
P7 0.536 0.527 0.810
P8 0.628 0.978 0.029
P9 0.705 0.034 0.642
P10 0.799 0.481 0.860
P11 0.872 0.532 0.471
P12 0.969 0.977 0.692
Se1 0.061 0.034 0.187
Se2 0.073 0.699 0.174
Se3 0.077 0.371 0.178
Se4 0.087 0.132 0.650
Se5 0.089 0.465 0.650
Se6 0.096 0.798 0.655
Se7 0.235 0.885 0.019
Se8 0.245 0.535 0.015
Se9 0.246 0.200 0.014
Se10 0.252 0.959 0.483
Se11 0.259 0.300 0.482
Se12 0.259 0.615 0.485
Se13 0.409 0.381 0.848
Se14 0.411 0.044 0.850
Se15 0.416 0.711 0.848
Se16 0.420 0.788 0.322
Se17 0.424 0.112 0.324
Se18 0.434 0.452 0.311
Se19 0.566 0.548 0.689
Se20 0.576 0.888 0.676
Se21 0.580 0.212 0.678
Se22 0.584 0.289 0.152
Se23 0.589 0.956 0.150
Se24 0.591 0.619 0.152
Se25 0.741 0.385 0.515
Se26 0.741 0.700 0.518
Se27 0.748 0.041 0.517
Se28 0.754 0.800 0.986
Se29 0.755 0.465 0.985
Se30 0.765 0.115 0.981
Se31 0.904 0.202 0.345
Se32 0.911 0.535 0.350
Se33 0.913 0.868 0.350
Se34 0.923 0.629 0.822
Se35 0.927 0.301 0.826
Se36 0.939 0.966 0.813

No. 2
This entry pairs a crystal structure of Ca2MgAs2O10 with its theoretical X-ray powder pattern. Radiation: a wavelength of 1.5418 Å. Structure: DFT lattice parameters and positions (GGA-PBE).
Neutral-atom scattering factors, no anomalous dispersion.

Principal peaks in the range 2θ from 10° to 80°, sorted by position:
Position (°2θ), I (rel.)
16.7, 503
18.5, 485
26.6, 372
27.7, 444
28.7, 332
29.1, 397
30.2, 1000
30.3, 353
32.5, 358
32.9, 583
44.2, 400
51.7, 264

Structural model:
Cell: 6.254 12.255 5.552 Å, 90.00 109.66 90.00°
Sites, in units of the cell vectors:
Ca1 0.062 0.125 0.263
Ca2 0.062 0.375 0.763
Ca3 0.938 0.625 0.237
Ca4 0.938 0.875 0.737
Mg1 0.500 0.000 0.000
Mg2 0.500 0.500 0.500
As1 0.285 0.620 0.931
As2 0.285 0.880 0.431
As3 0.715 0.120 0.569
As4 0.715 0.380 0.069
O1 0.081 0.712 0.929
O2 0.081 0.788 0.429
O3 0.234 0.552 0.643
O4 0.234 0.948 0.143
O5 0.256 0.522 0.142
O6 0.256 0.978 0.642
O7 0.342 0.151 0.039
O8 0.342 0.349 0.539
O9 0.443 0.175 0.468
O10 0.443 0.325 0.968
O11 0.557 0.675 0.032
O12 0.557 0.825 0.532
O13 0.658 0.651 0.461
O14 0.658 0.849 0.961
O15 0.744 0.022 0.358
O16 0.744 0.478 0.858
O17 0.766 0.052 0.857
O18 0.766 0.448 0.357
O19 0.919 0.212 0.571
O20 0.919 0.288 0.071

No. 3
This entry pairs a crystal structure of SrIn3Au with its theoretical X-ray powder pattern. Radiation: a wavelength of 1.5418 Å. Structure: DFT lattice parameters and positions (GGA-PBE).
Neutral-atom scattering factors, no anomalous dispersion.

Principal peaks in the range 2θ from 10° to 80°, sorted by position:
Position (°2θ), I (rel.)
13.6, 141
20.6, 363
28.4, 297
30.8, 807
39.3, 1000
39.9, 392
49.2, 131
56.8, 174
57.3, 270
58.7, 112
66.1, 176
71.3, 162

Structural model:
Cell: 4.582 4.582 12.994 Å, 90.00 90.00 90.00°
Sites, in units of the cell vectors:
Sr1 0.000 0.000 0.000
Sr2 0.500 0.500 0.500
In1 0.000 0.000 0.387
In2 0.000 0.500 0.233
In3 0.000 0.500 0.733
In4 0.500 0.000 0.233
In5 0.500 0.000 0.733
In6 0.500 0.500 0.887
Au1 0.000 0.000 0.597
Au2 0.500 0.500 0.097

No. 4
This entry pairs a crystal structure of Pu4Rh with its theoretical X-ray powder pattern. Radiation: a wavelength of 1.5418 Å. Structure: DFT lattice parameters and positions (GGA-PBE).
Neutral-atom scattering factors, no anomalous dispersion.

Principal peaks in the range 2θ from 10° to 80°, sorted by position:
Position (°2θ), I (rel.)
14.8, 47
24.3, 83
29.9, 1000
34.7, 368
37.9, 219
45.6, 289
49.9, 369
59.2, 285
62.2, 58
64.3, 135
69.8, 109
75.2, 118

Structural model:
Cell: 7.316 7.316 7.316 Å, 60.00 60.00 60.00°
Sites, in units of the cell vectors:
Pu1 0.195 0.768 0.768
Pu2 0.232 0.232 0.232
Pu3 0.232 0.232 0.805
Pu4 0.232 0.805 0.232
Pu5 0.768 0.195 0.768
Pu6 0.768 0.768 0.195
Pu7 0.768 0.768 0.768
Pu8 0.805 0.232 0.232
Rh1 0.375 0.375 0.375
Rh2 0.625 0.625 0.625

No. 5
This entry pairs a crystal structure of BeH8SO8 with its theoretical X-ray powder pattern. Radiation: a wavelength of 1.5418 Å. Structure: DFT lattice parameters and positions (GGA-PBE).
Neutral-atom scattering factors, no anomalous dispersion.

Principal peaks in the range 2θ from 10° to 80°, sorted by position:
Position (°2θ), I (rel.)
15.3, 198
21.7, 313
23.2, 1000
25.8, 175
27.9, 190
34.6, 76
36.0, 326
40.6, 142
44.2, 46
48.1, 149
57.6, 65
65.5, 95

Structural model:
Cell: 7.734 7.734 7.734 Å, 115.98 115.98 97.12°
Sites, in units of the cell vectors:
Be1 0.000 0.000 0.000
Be2 0.500 0.500 0.000
H1 0.104 0.758 0.090
H2 0.168 0.258 0.654
H3 0.242 0.332 0.346
H4 0.338 0.150 0.724
H5 0.350 0.162 0.276
H6 0.386 0.662 0.812
H7 0.426 0.614 0.276
H8 0.485 0.832 0.090
H9 0.604 0.515 0.346
H10 0.668 0.015 0.910
H11 0.742 0.396 0.910
H12 0.838 0.114 0.188
H13 0.850 0.574 0.188
H14 0.886 0.074 0.724
H15 0.926 0.650 0.812
H16 0.985 0.896 0.654
S1 0.250 0.750 0.500
S2 0.750 0.250 0.500
O1 0.023 0.784 0.969
O2 0.041 0.748 0.455
O3 0.216 0.185 0.239
O4 0.252 0.706 0.293
O5 0.294 0.586 0.545
O6 0.315 0.284 0.761
O7 0.414 0.959 0.707
O8 0.446 0.685 0.969
O9 0.523 0.554 0.239
O10 0.541 0.086 0.293
O11 0.716 0.477 0.031
O12 0.752 0.459 0.545
O13 0.794 0.248 0.707
O14 0.815 0.054 0.031
O15 0.914 0.206 0.455
O16 0.946 0.977 0.761

No. 6
This entry pairs a crystal structure of Na3MgAlSi7O18 with its theoretical X-ray powder pattern. Radiation: a wavelength of 1.5418 Å. Structure: DFT lattice parameters and positions (GGA-PBE).
Neutral-atom scattering factors, no anomalous dispersion.

Principal peaks in the range 2θ from 10° to 80°, sorted by position:
Position (°2θ), I (rel.)
20.5, 196
30.2, 1000
31.1, 277
31.3, 436
35.5, 392
35.7, 189
36.9, 340
41.3, 250
45.6, 201
58.0, 194
61.8, 198
68.3, 180

Structural model:
Cell: 14.310 14.310 5.315 Å, 93.54 93.54 35.19°
Sites, in units of the cell vectors:
Na1 0.000 0.000 0.000
Na2 0.261 0.071 0.832
Na3 0.328 0.337 0.664
Na4 0.599 0.401 0.500
Na5 0.663 0.672 0.336
Na6 0.929 0.739 0.168
Mg1 0.058 0.274 0.333
Mg2 0.726 0.942 0.667
Al1 0.203 0.797 0.500
Al2 0.394 0.606 0.000
Si1 0.111 0.697 0.788
Si2 0.152 0.375 0.041
Si3 0.295 0.509 0.287
Si4 0.303 0.889 0.212
Si5 0.440 0.034 0.449
Si6 0.491 0.705 0.713
Si7 0.535 0.131 0.167
Si8 0.625 0.848 0.959
Si9 0.631 0.229 0.888
Si10 0.771 0.369 0.112
Si11 0.817 0.042 0.374
Si12 0.869 0.465 0.833
Si13 0.958 0.183 0.626
Si14 0.966 0.560 0.551
O1 0.011 0.896 0.365
O2 0.066 0.341 0.000
O3 0.074 0.499 0.811
O4 0.089 0.474 0.312
O5 0.104 0.989 0.635
O6 0.153 0.079 0.185
O7 0.174 0.590 0.524
O8 0.193 0.572 0.021
O9 0.193 0.737 0.803
O10 0.251 0.181 0.484
O11 0.263 0.807 0.197
O12 0.340 0.585 0.307
O13 0.349 0.231 0.026
O14 0.410 0.826 0.476
O15 0.415 0.660 0.693
O16 0.428 0.807 0.979
O17 0.436 0.314 0.308
O18 0.488 0.421 0.862
O19 0.501 0.926 0.189
O20 0.510 0.086 0.442
O21 0.526 0.911 0.688
O22 0.577 0.161 0.892
O23 0.579 0.512 0.138
O24 0.659 0.934 0.000
O25 0.686 0.564 0.692
O26 0.731 0.009 0.329
O27 0.740 0.168 0.146
O28 0.747 0.147 0.642
O29 0.769 0.651 0.974
O30 0.819 0.749 0.516
O31 0.832 0.260 0.854
O32 0.839 0.423 0.108
O33 0.853 0.253 0.358
O34 0.914 0.490 0.558
O35 0.921 0.847 0.815
O36 0.991 0.269 0.671